The following is a calculated X-ray powder pattern of Co2W3. It was derived from a structure optimized by DFT (GGA-PBE), using copper Kα.

Cell and atoms:
```
data_Co2W3
_chemical_formula_sum 'Co4 W6'
_space_group_name_H-M_alt 'P 1'
_space_group_IT_number 1
_cell_length_a 4.8798
_cell_length_b 5.0467
_cell_length_c 6.6963
_cell_angle_alpha 76.59
_cell_angle_beta 73.76
_cell_angle_gamma 62.81
loop_
_space_group_symop_operation_xyz
'x,y,z'
loop_
_atom_site_label
_atom_site_fract_x
_atom_site_fract_y
_atom_site_fract_z
Co1 0.0000 0.0000 0.0000
Co2 0.0626 0.6531 0.7345
Co3 0.4246 0.0236 0.1974
Co4 0.6426 0.6259 0.5373
W1 0.1238 0.1347 0.5971
W2 0.2868 0.5752 0.3564
W3 0.5170 0.1039 0.8131
W4 0.5471 0.5526 0.9213
W5 0.7808 0.0746 0.3786
W6 0.9439 0.5156 0.1377
```

Peak list (12 most intense, 10° ≤ 2θ ≤ 80°, sorted by position)
d_spacing  2theta  intensity  (hkl)
3.882  22.91  22  0 1 1
3.250  27.44  26  1 0 -1
2.840  31.50  25  1 0 2
2.352  38.27  38  -1 1 1
2.337  38.52  36  1 0 -2
2.228  40.49  89  0 2 0
2.201  41.00  86  1 1 -2
2.171  41.61  89  1 1 3
2.151  42.01  87  2 0 1
2.116  42.72  100  2 2 1
1.959  46.35  47  -1 1 2
1.684  54.47  40  1 -1 3